Structure and theoretical powder XRD pattern of Ce3B8Ir3 (a structure optimized by DFT (PBE); CuKα).

Largest 10 diffraction maxima, in order of falling intensity, 10 to 80 degrees two-theta:
d_spacing  intensity
2.185  1000
2.690  874
5.298  536
2.649  393
2.391  379
7.099  348
2.134  285
1.330  230
1.775  208
1.710  165

Structure:
```
Ce3B8Ir3
1.0
-1.710 4.782 5.298
1.710 -4.782 5.298
1.710 4.782 -5.298
Ce B Ir
3 8 3
Direct
0.000 0.000 0.000 Ce
0.288 0.288 0.000 Ce
0.712 0.712 0.000 Ce
0.008 0.309 0.698 B
0.131 0.857 0.275 B
0.389 0.691 0.698 B
0.418 0.143 0.275 B
0.582 0.857 0.725 B
0.611 0.309 0.302 B
0.869 0.143 0.725 B
0.992 0.691 0.302 B
0.274 0.500 0.774 Ir
0.500 0.000 0.500 Ir
0.726 0.500 0.226 Ir
```